Calculated powder XRD pattern of MgBe for copper Kα, from a GGA-PBE-relaxed structure.
Intensities are scaled so that the largest is 100.

The 10 most intense peaks (2θ from 10° to 80°), sorted by position:
Position (°2θ)  I (rel.)
24.51  16
26.09  16
28.38  17
36.10  100
37.84  12
44.55  18
48.87  16
50.25  19
69.38  13
76.53  13

Crystal structure
```
12
Lattice="7.2630 0.0000 0.0000 -3.6315 6.2899 0.0000 0.0000 0.0000 4.0676" Properties=species:S:1:pos:R:3 pbc="T T T"
Mg 0.0000 2.2804 1.0169
Mg -1.6566 5.1497 1.0169
Mg 1.9749 1.1402 3.0507
Mg 1.6566 5.1497 1.0169
Mg 5.2881 1.1402 3.0507
Mg 3.6315 4.0095 3.0507
Be -1.1336 3.5388 3.0507
Be 1.1336 3.5388 3.0507
Be 0.0000 5.5023 3.0507
Be 3.6315 0.7876 1.0169
Be 2.4978 2.7511 1.0169
Be 4.7651 2.7511 1.0169
```

Calculated powder XRD pattern of PrNdLuHg for copper Kα, from a GGA-PBE-relaxed structure.
Intensities are scaled so that the largest is 100.

The 9 most intense peaks (2θ from 10° to 80°), sorted by position:
Position (°2θ)  I (rel.)
22.78  2
32.44  100
40.01  1
46.53  18
52.42  1
57.87  39
67.92  12
72.67  1
77.30  17

Crystal structure
```
4
Lattice="0.0000 3.9032 3.9032 3.9032 0.0000 3.9032 3.9032 3.9032 0.0000" Properties=species:S:1:pos:R:3 pbc="T T T"
Pr 0.0000 0.0000 0.0000
Nd 3.9032 3.9032 3.9032
Lu 5.8548 5.8548 5.8548
Hg 1.9516 1.9516 1.9516
```

Calculated powder XRD pattern of Ho4MgSc5 for copper Kα, from a GGA-PBE-relaxed structure.
Intensities are scaled so that the largest is 100.

The 10 most intense peaks (2θ from 10° to 80°), sorted by position:
Position (°2θ)  I (rel.)
12.32  18
25.62  43
31.17  100
33.16  19
37.57  33
41.84  12
50.97  19
51.31  11
58.00  16
63.84  19

Crystal structure
```
10
Lattice="-5.0786 5.0786 2.7016 5.0786 -5.0786 2.7016 5.0786 5.0786 -2.7016" Properties=species:S:1:pos:R:3 pbc="T T T"
Ho 3.2274 0.0000 0.0000
Ho 6.9297 0.0000 0.0000
Ho 0.0000 3.2274 0.0000
Ho 0.0000 6.9297 0.0000
Mg 0.0000 0.0000 1.4029
Sc 3.1929 3.1929 0.0103
Sc 1.8856 -1.8856 2.7119
Sc -1.8856 1.8856 2.7119
Sc 1.8856 1.8856 2.7119
Sc 0.0000 0.0000 4.1811
```

Calculated powder XRD pattern of Pr3Er12Tl for copper Kα, from a GGA-PBE-relaxed structure.
Intensities are scaled so that the largest is 100.

The 10 most intense peaks (2θ from 10° to 80°), sorted by position:
Position (°2θ)  I (rel.)
31.08  100
35.73  17
36.20  34
51.78  23
52.13  12
61.32  13
61.94  28
64.81  12
75.70  2
76.83  4

Crystal structure
```
16
Lattice="4.9629 0.0000 0.0000 0.0000 4.9629 0.0000 0.0000 0.0000 20.1022" Properties=species:S:1:pos:R:3 pbc="T T T"
Pr 0.0000 0.0000 0.0000
Pr 0.0000 0.0000 5.0596
Pr 0.0000 0.0000 15.0426
Er 0.0000 2.4814 2.5507
Er 0.0000 2.4814 7.6425
Er 0.0000 2.4814 12.4597
Er 0.0000 2.4814 17.5515
Er 2.4814 0.0000 2.5507
Er 2.4814 0.0000 7.6425
Er 2.4814 0.0000 12.4597
Er 2.4814 0.0000 17.5515
Er 2.4814 2.4814 0.0000
Er 2.4814 2.4814 5.1760
Er 2.4814 2.4814 10.0511
Er 2.4814 2.4814 14.9262
Tl 0.0000 0.0000 10.0511
```

Calculated powder XRD pattern of BC3 for copper Kα, from a GGA-PBE-relaxed structure.
Intensities are scaled so that the largest is 100.

The 10 most intense peaks (2θ from 10° to 80°), sorted by position:
Position (°2θ)  I (rel.)
13.40  4
20.65  7
26.99  5
42.02  50
42.61  100
42.89  58
72.05  29
72.38  12
72.84  14
73.27  23

Crystal structure
```
12
Lattice="4.3622 -1.2986 0.0000 4.3622 1.2986 0.0000 -3.2393 0.0000 6.6070" Properties=species:S:1:pos:R:3 pbc="T T T"
B 0.0000 0.0000 0.0000
B -0.1847 0.0000 2.8644
B 0.8288 0.0000 4.7131
C -1.6293 0.0000 6.3696
C 2.3418 0.0000 1.1376
C 3.8885 0.0000 0.9317
C 2.3240 0.0000 4.1567
C 4.7417 0.0000 2.1981
C 3.0941 0.0000 5.5544
C 4.5888 0.0000 5.2186
C 6.2808 0.0000 1.9538
C 7.0238 0.0000 3.3566
```

Calculated powder XRD pattern of YbYAl6B8O24 for copper Kα, from a GGA-PBE-relaxed structure.
Intensities are scaled so that the largest is 100.

The 10 most intense peaks (2θ from 10° to 80°), sorted by position:
Position (°2θ)  I (rel.)
16.30  68
18.96  42
25.11  59
26.69  23
31.65  38
32.95  100
38.29  39
42.03  34
47.44  23
54.28  28

Crystal structure
```
40
Lattice="4.6804 2.7022 4.8865 -4.6804 2.7022 4.8865 0.0000 -5.4045 4.8865" Properties=species:S:1:pos:R:3 pbc="T T T"
Yb 0.0000 0.0000 0.0000
Y 0.0000 0.0000 7.3297
Al -2.6019 -0.8978 4.8865
Al -4.1631 0.0000 7.3297
Al -2.6019 0.8978 9.7729
Al 2.0816 -3.6054 7.3297
Al 0.5234 2.7022 4.8865
Al 2.0816 3.6054 7.3297
B -0.5337 -2.7043 6.1076
B 0.0000 0.0000 3.6629
B -2.0752 -1.8144 8.5518
B -2.0752 1.8143 6.1076
B -0.5337 2.7043 8.5518
B 2.6089 0.8900 6.1077
B 0.0000 0.0000 10.9966
B 2.6089 -0.8900 8.5518
O -1.1781 -3.9025 6.2739
O -2.7906 -2.9715 8.3855
O -1.3897 -0.0036 3.6644
O -2.7659 0.6071 6.1115
O -1.1652 -1.4881 5.9452
O 0.6980 -1.2017 3.6644
O -2.7659 -0.6071 8.5479
O -2.7906 2.9715 6.2739
O 0.8572 -2.6989 6.1115
O 0.6917 1.2053 3.6644
O -0.7061 -1.7532 8.7143
O -0.7061 1.7532 5.9452
O -1.1653 1.4881 8.7143
O 1.8714 -0.2651 5.9452
O -1.3897 0.0036 10.9950
O 1.9088 -2.0918 8.5479
O -1.1781 3.9025 8.3855
O 1.9088 2.0918 6.1115
O 0.6917 -1.2053 10.9950
O 1.8714 0.2651 8.7142
O 0.8572 2.6989 8.5479
O 0.6980 1.2017 10.9950
O 3.9687 0.9310 6.2739
O 3.9687 -0.9310 8.3855
```

Calculated powder XRD pattern of Sr4CaCl10 for copper Kα, from a GGA-PBE-relaxed structure.
Intensities are scaled so that the largest is 100.

The 10 most intense peaks (2θ from 10° to 80°), sorted by position:
Position (°2θ)  I (rel.)
22.03  82
36.34  100
36.42  20
42.91  42
52.36  19
57.41  9
57.53  8
65.34  19
65.48  19
69.89  8

Crystal structure
```
15
Lattice="-2.4751 3.4958 12.3336 2.4751 -3.4958 12.3336 2.4751 3.4958 -12.3336" Properties=species:S:1:pos:R:3 pbc="T T T"
Sr 0.0000 0.0000 2.4154
Sr 0.0000 0.0000 7.4302
Sr 0.0000 0.0000 17.2370
Sr 0.0000 0.0000 22.2517
Ca 0.0000 0.0000 12.3336
Cl 2.4751 -1.7559 7.4172
Cl 2.4751 1.7754 -2.3824
Cl 0.0000 1.8194 0.0000
Cl 2.4751 1.7754 2.3824
Cl 0.0000 1.7399 4.9164
Cl 2.4751 1.7559 7.4172
Cl 0.0000 1.7203 9.9512
Cl 0.0000 5.1722 0.0000
Cl 0.0000 1.7203 14.7160
Cl 0.0000 5.2516 4.9164
```

Calculated powder XRD pattern of SrLiTeHOsBr for copper Kα, from a GGA-PBE-relaxed structure.
Intensities are scaled so that the largest is 100.

The 10 most intense peaks (2θ from 10° to 80°), sorted by position:
Position (°2θ)  I (rel.)
19.14  40
29.15  17
30.94  60
35.10  56
35.51  100
37.94  24
38.15  24
49.31  16
61.60  17
61.96  21

Crystal structure
```
6
Lattice="3.6958 0.0000 0.0000 0.0000 1.7636 9.2755 0.0000 -1.7636 9.2755" Properties=species:S:1:pos:R:3 pbc="T T T"
Sr 0.0000 0.0000 0.0000
Li 1.8479 0.0000 4.1874
Te 0.0000 0.0000 15.2405
H 1.8479 0.0000 8.7600
Os 1.8479 0.0000 7.0492
Br 1.8479 0.0000 11.5301
```

Calculated powder XRD pattern of Fe5P3 for copper Kα, from a GGA-PBE-relaxed structure.
Intensities are scaled so that the largest is 100.

The 10 most intense peaks (2θ from 10° to 80°), sorted by position:
Position (°2θ)  I (rel.)
29.76  12
33.52  11
36.36  21
42.38  25
42.69  45
47.76  36
48.07  100
50.29  14
73.79  11
78.30  9

Crystal structure
```
16
Lattice="-4.2268 4.2268 2.4706 4.2268 -4.2268 2.4706 4.2268 4.2268 -2.4706" Properties=species:S:1:pos:R:3 pbc="T T T"
Fe 4.2268 0.0000 0.0000
Fe 1.7884 -0.6165 0.8496
Fe 6.6653 0.6165 0.8496
Fe 0.6165 1.7884 0.8496
Fe 4.8433 2.4384 0.8496
Fe 0.0000 4.2268 0.0000
Fe 2.4384 3.6103 0.8496
Fe 1.7884 0.6165 3.3202
Fe -0.6165 1.7884 3.3202
Fe -0.6165 6.6653 0.8496
P 5.6107 -1.3838 1.3354
P 0.0000 0.0000 2.1249
P 2.8430 1.3838 1.3354
P -1.3838 2.8430 1.3354
P 0.0000 0.0000 4.5954
P 1.3838 5.6107 1.3354
```

Calculated powder XRD pattern of TcC5IO5 for copper Kα, from a GGA-PBE-relaxed structure.
Intensities are scaled so that the largest is 100.

The 10 most intense peaks (2θ from 10° to 80°), sorted by position:
Position (°2θ)  I (rel.)
13.43  100
14.81  85
20.04  81
21.95  19
26.00  20
26.58  83
30.05  27
31.55  31
37.38  41
41.71  36

Crystal structure
```
24
Lattice="4.0499 -5.6721 0.0000 4.0499 5.6721 0.0000 0.0000 0.0000 11.9670" Properties=species:S:1:pos:R:3 pbc="T T T"
Tc 4.0499 4.0415 8.9753
Tc 4.0499 -4.0415 2.9918
C 1.4261 1.5243 1.5833
C 1.4261 1.5243 4.4002
C 1.4261 -1.5243 7.5668
C 1.4261 -1.5243 10.3838
C 4.0499 2.1038 8.9753
C 4.0499 -2.1038 2.9918
C 6.6737 1.5243 1.5833
C 6.6737 1.5243 4.4002
C 6.6737 -1.5243 7.5668
C 6.6737 -1.5243 10.3838
I 4.0499 4.4624 2.9918
I 4.0499 -4.4624 8.9753
O 2.2486 1.4336 0.7815
O 2.2486 1.4336 5.2020
O 2.2486 -1.4336 6.7650
O 2.2486 -1.4336 11.1855
O 4.0499 0.9434 8.9753
O 4.0499 -0.9434 2.9918
O 5.8512 1.4336 0.7815
O 5.8512 1.4336 5.2020
O 5.8512 -1.4336 6.7650
O 5.8512 -1.4336 11.1855
```

Calculated powder XRD pattern of Mg7In4Ga for copper Kα, from a GGA-PBE-relaxed structure.
Intensities are scaled so that the largest is 100.

The 10 most intense peaks (2θ from 10° to 80°), sorted by position:
Position (°2θ)  I (rel.)
18.96  48
20.70  26
23.96  100
26.64  63
28.19  45
33.88  65
34.37  70
37.27  68
37.69  64
49.03  44

Crystal structure
```
12
Lattice="6.7831 -2.6093 0.0000 6.7831 2.6093 0.0000 -6.6927 0.0000 8.5825" Properties=species:S:1:pos:R:3 pbc="T T T"
Mg 0.0000 0.0000 0.0000
Mg -3.7038 0.0000 7.5407
Mg -1.0805 0.0000 5.8226
Mg 1.9948 0.0000 4.9436
Mg 4.8787 0.0000 3.6389
Mg 7.9540 0.0000 2.7599
Mg 10.5774 0.0000 1.0418
In -0.5516 0.0000 2.8657
In 2.4680 0.0000 1.8981
In 4.4056 0.0000 6.6845
In 7.4251 0.0000 5.7168
Ga 6.7831 0.0000 0.0000
```

Calculated powder XRD pattern of ThMg2Os for copper Kα, from a GGA-PBE-relaxed structure.
Intensities are scaled so that the largest is 100.

The 10 most intense peaks (2θ from 10° to 80°), sorted by position:
Position (°2θ)  I (rel.)
19.90  100
23.63  38
31.08  63
36.50  99
37.79  28
40.44  23
44.49  21
46.81  46
49.18  20
63.55  21

Crystal structure
```
8
Lattice="2.0365 -4.9400 0.0000 2.0365 4.9400 0.0000 0.0000 0.0000 8.9220" Properties=species:S:1:pos:R:3 pbc="T T T"
Th 2.0365 4.3307 6.6915
Th 2.0365 -4.3307 2.2305
Mg 2.0365 1.5179 4.9034
Mg 2.0365 1.5179 8.4797
Mg 2.0365 -1.5179 0.4423
Mg 2.0365 -1.5179 4.0187
Os 2.0365 2.6273 2.2305
Os 2.0365 -2.6273 6.6915
```

Question: What is the formula in the ninth record?
Answer: Fe5P3